This entry pairs a crystal structure of Mg6CrCO8 with its computed powder XRD pattern. Radiation: copper Kα. Structure: a structure optimized by DFT (GGA+U).
Lines closer than 0.1° are merged.

Cell and atoms:
Lattice parameters (Å, degrees): 4.2670 4.2670 8.4667 90.00 90.00 90.00
Space group P4/mmm (No. 123)
One atom of each set of equivalent atoms:
Mg (0.0000, 0.0000, 0.0000)
Mg (0.0000, 0.5000, 0.2543)
Mg (0.5000, 0.5000, 0.0000)
Cr (0.0000, 0.0000, 0.5000)
C (0.5000, 0.5000, 0.5000)
O (0.0000, 0.0000, 0.2537)
O (0.0000, 0.5000, 0.0000)
O (0.0000, 0.5000, 0.5000)
O (0.5000, 0.5000, 0.2457)

The 10 most intense peaks (2θ from 5° to 70°), most intense first:
Position (°2θ)	Rel. int.	(hkl)
42.37	100	2 0 0
61.73	54	2 0 4
42.72	48	0 0 4
61.46	28	2 2 0
36.57	20	1 1 2
23.35	17	1 0 1
20.82	10	1 0 0
29.73	8	1 0 2
48.93	4	2 1 1
10.45	4	0 0 1